This entry pairs a crystal structure of LiLaPmEu with its computed powder XRD pattern. Radiation: CuKα. Structure: a PBE-relaxed structure.
Kinematic intensities with the Lorentz-polarization factor, no thermal factor.

Peak list (6 most intense, 2θ = 10–90°, in order of falling intensity)
2θ = 30.96°, intensity 100.0
2θ = 55.07°, intensity 39.2
2θ = 18.81°, intensity 23.5
2θ = 89.84°, intensity 20.7
2θ = 44.35°, intensity 18.6
2θ = 73.28°, intensity 16.7

Crystal structure
```
LiLaPmEu
1.0
0.0000 4.0849 4.0849
4.0849 0.0000 4.0849
4.0849 4.0849 0.0000
Li La Pm Eu
1 1 1 1
direct
0.0000 0.0000 0.0000
0.7500 0.7500 0.7500
0.5000 0.5000 0.5000
0.2500 0.2500 0.2500
```


This entry pairs a crystal structure of La4Eu2N with its computed powder XRD pattern. Radiation: CuKα. Structure: a PBE-relaxed structure.
Kinematic intensities with the Lorentz-polarization factor, no thermal factor.

Peak list (6 most intense, 2θ = 10–90°, in order of falling intensity)
2θ = 31.29°, intensity 100.0
2θ = 26.22°, intensity 69.3
2θ = 34.66°, intensity 64.6
2θ = 45.98°, intensity 33.5
2θ = 60.02°, intensity 31.3
2θ = 29.26°, intensity 29.1

Crystal structure
```
La4Eu2N
1.0
-2.5884 2.5884 9.1554
2.5884 -2.5884 9.1554
2.5884 2.5884 -9.1554
La Eu N
4 2 1
direct
0.0000 0.5000 0.5000
0.1315 0.1315 0.0000
0.5000 0.0000 0.5000
0.8685 0.8685 0.0000
0.3309 0.3309 0.0000
0.6691 0.6691 0.0000
0.0000 0.0000 0.0000
```


This entry pairs a crystal structure of SrLaEuNbO6 with its computed powder XRD pattern. Radiation: CuKα. Structure: a PBE-relaxed structure.
Kinematic intensities with the Lorentz-polarization factor, no thermal factor.

Peak list (6 most intense, 2θ = 10–90°, in order of falling intensity)
2θ = 29.44°, intensity 100.0
2θ = 29.95°, intensity 58.5
2θ = 52.86°, intensity 46.6
2θ = 42.87°, intensity 26.6
2θ = 51.89°, intensity 24.6
2θ = 61.08°, intensity 17.8

Crystal structure
```
SrLaEuNbO6
1.0
5.9671 0.0000 0.0000
0.0000 5.9671 0.0000
0.0000 0.0000 8.7334
Sr La Eu Nb O
2 2 2 2 12
direct
0.0000 0.0000 0.0000
0.5000 0.5000 0.0000
0.0000 0.5000 0.2498
0.5000 0.0000 0.7502
0.0000 0.0000 0.5000
0.5000 0.5000 0.5000
0.0000 0.5000 0.7481
0.5000 0.0000 0.2519
0.0000 0.5000 0.5160
0.0000 0.5000 0.9815
0.1503 0.8048 0.7474
0.1952 0.8497 0.2526
0.3048 0.3497 0.7474
0.3497 0.3048 0.2526
0.5000 0.0000 0.0185
0.5000 0.0000 0.4840
0.6503 0.6952 0.2526
0.6952 0.6503 0.7474
0.8048 0.1503 0.2526
0.8497 0.1952 0.7474
```


This entry pairs a crystal structure of LaPmEuTm with its computed powder XRD pattern. Radiation: CuKα. Structure: a PBE-relaxed structure.
Kinematic intensities with the Lorentz-polarization factor, no thermal factor.

Peak list (6 most intense, 2θ = 10–90°, in order of falling intensity)
2θ = 30.55°, intensity 100.0
2θ = 54.29°, intensity 39.7
2θ = 88.37°, intensity 20.8
2θ = 43.74°, intensity 18.7
2θ = 72.18°, intensity 17.0
2θ = 63.59°, intensity 12.3

Crystal structure
```
LaPmEuTm
1.0
0.0000 4.1387 4.1387
4.1387 0.0000 4.1387
4.1387 4.1387 0.0000
La Pm Eu Tm
1 1 1 1
direct
0.0000 0.0000 0.0000
0.5000 0.5000 0.5000
0.7500 0.7500 0.7500
0.2500 0.2500 0.2500
```


This entry pairs a crystal structure of SrLaEu with its computed powder XRD pattern. Radiation: CuKα. Structure: a PBE-relaxed structure.
Kinematic intensities with the Lorentz-polarization factor, no thermal factor.

Peak list (6 most intense, 2θ = 10–90°, in order of falling intensity)
2θ = 27.65°, intensity 100.0
2θ = 32.19°, intensity 34.5
2θ = 54.66°, intensity 29.8
2θ = 45.82°, intensity 23.6
2θ = 31.72°, intensity 16.4
2θ = 54.06°, intensity 12.9

Crystal structure
```
SrLaEu
1.0
-1.9665 1.9665 8.4616
1.9665 -1.9665 8.4616
1.9665 1.9665 -8.4616
Sr La Eu
1 1 1
direct
0.0000 0.0000 0.0000
0.6710 0.6710 0.0000
0.3204 0.3204 0.0000
```


This entry pairs a crystal structure of LaEuTl with its computed powder XRD pattern. Radiation: CuKα. Structure: a PBE-relaxed structure.
Kinematic intensities with the Lorentz-polarization factor, no thermal factor.

Peak list (6 most intense, 2θ = 10–90°, in order of falling intensity)
2θ = 30.11°, intensity 100.0
2θ = 32.90°, intensity 81.2
2θ = 57.02°, intensity 33.3
2θ = 45.20°, intensity 33.1
2θ = 51.65°, intensity 23.5
2θ = 72.55°, intensity 17.2

Crystal structure
```
LaEuTl
1.0
5.4454 0.0000 0.0000
-2.7227 4.7158 0.0000
0.0000 0.0000 3.8186
La Eu Tl
1 1 1
direct
0.0000 0.0000 0.0000
0.6667 0.3333 0.6054
0.3333 0.6667 0.3069
```


This entry pairs a crystal structure of LiEu6 with its computed powder XRD pattern. Radiation: CuKα. Structure: a PBE-relaxed structure.
Kinematic intensities with the Lorentz-polarization factor, no thermal factor.

Peak list (6 most intense, 2θ = 10–90°, in order of falling intensity)
2θ = 13.18°, intensity 100.0
2θ = 32.65°, intensity 72.9
2θ = 22.93°, intensity 61.4
2θ = 35.35°, intensity 41.1
2θ = 37.88°, intensity 37.4
2θ = 29.74°, intensity 30.2

Crystal structure
```
LiEu6
1.0
-4.7499 4.7499 4.7499
4.7499 -4.7499 4.7499
4.7499 4.7499 -4.7499
Li Eu
1 6
direct
0.0000 0.0000 0.0000
0.2500 0.5000 0.7500
0.2500 0.7500 0.5000
0.5000 0.2500 0.7500
0.5000 0.7500 0.2500
0.7500 0.2500 0.5000
0.7500 0.5000 0.2500
```


This entry pairs a crystal structure of LiEuLuMg with its computed powder XRD pattern. Radiation: CuKα. Structure: a PBE-relaxed structure.
Kinematic intensities with the Lorentz-polarization factor, no thermal factor.

Peak list (6 most intense, 2θ = 10–90°, in order of falling intensity)
2θ = 32.95°, intensity 100.0
2θ = 23.14°, intensity 82.4
2θ = 58.84°, intensity 38.0
2θ = 53.28°, intensity 35.3
2θ = 40.65°, intensity 25.7
2θ = 47.29°, intensity 18.2

Crystal structure
```
LiEuLuMg
1.0
0.0000 3.8443 3.8443
3.8443 0.0000 3.8443
3.8443 3.8443 0.0000
Li Eu Lu Mg
1 1 1 1
direct
0.0000 0.0000 0.0000
0.2500 0.2500 0.2500
0.7500 0.7500 0.7500
0.5000 0.5000 0.5000
```